Theoretical powder XRD pattern of Bi2Sb2Pt3 for Cu Kα, 1.54184 Å, from a crystal structure in Alexandria, relaxed with GGA-PBE.

Top 12 peaks for 2θ = 10–90°, low angle first:
| h k l | Position (°2θ) | d (Å) | I/Imax |
| --- | --- | --- | --- |
| 1 0 0 | 13.48 | 6.569 | 305 |
| 0 1 2 | 28.89 | 3.091 | 665 |
| 1 2 -1 | 29.11 | 3.067 | 716 |
| 2 1 -1 | 29.23 | 3.055 | 346 |
| 2 1 0 | 29.81 | 2.997 | 653 |
| 1 1 -3 | 40.01 | 2.253 | 785 |
| 2 2 -2 | 40.53 | 2.226 | 535 |
| 3 1 -1 | 41.40 | 2.181 | 648 |
| 1 3 1 | 42.90 | 2.108 | 1000 |
| 2 0 2 | 43.41 | 2.085 | 532 |
| 1 2 3 | 52.55 | 1.742 | 271 |
| 2 4 -2 | 60.35 | 1.534 | 225 |

```
data_Bi2Sb2Pt3
_chemical_formula_sum 'Bi4 Sb4 Pt6'
_cell_length_a 6.8582
_cell_length_b 7.3309
_cell_length_c 7.1173
_cell_angle_alpha 90.00
_cell_angle_beta 106.70
_cell_angle_gamma 90.00
_symmetry_space_group_name_H-M 'P 1 21/c 1'
_symmetry_Int_Tables_number 14
_symmetry_space_group_name_Hall '-P 2ybc'
loop_
_atom_site_label
_atom_site_fract_x
_atom_site_fract_y
_atom_site_fract_z
_atom_site_occupancy
Bi1 0.1400 0.1587 0.3844 1
Sb1 0.3726 0.6531 0.6218 1
Pt1 0.0000 0.0000 0.0000 1
Pt2 0.2764 0.5325 0.2453 1
```

=====

Theoretical powder XRD pattern of Bi3SbPt4 for Cu Kα, 1.54184 Å, from a crystal structure in Alexandria, relaxed with GGA-PBE.

Top 12 peaks for 2θ = 10–90°, low angle first:
| h k l | Position (°2θ) | d (Å) | I/Imax |
| --- | --- | --- | --- |
| 0 1 1 | 15.45 | 5.736 | 406 |
| 0 0 2 | 24.93 | 3.572 | 387 |
| 1 2 1 | 27.40 | 3.255 | 1000 |
| 0 2 2 | 31.19 | 2.868 | 526 |
| 2 1 1 | 35.54 | 2.526 | 475 |
| 2 2 0 | 37.01 | 2.429 | 524 |
| 0 4 0 | 37.38 | 2.406 | 776 |
| 1 0 3 | 41.16 | 2.193 | 383 |
| 2 3 1 | 44.68 | 2.028 | 325 |
| 2 2 2 | 45.14 | 2.008 | 831 |
| 0 4 2 | 45.45 | 1.995 | 444 |
| 1 4 3 | 56.79 | 1.621 | 376 |

```
data_Bi3SbPt4
_chemical_formula_sum 'Bi6 Sb2 Pt8'
_cell_length_a 5.6274
_cell_length_b 9.6241
_cell_length_c 7.1432
_cell_angle_alpha 90.00
_cell_angle_beta 90.00
_cell_angle_gamma 90.00
_symmetry_space_group_name_H-M 'I m m 2'
_symmetry_Int_Tables_number 44
_symmetry_space_group_name_Hall 'I 2 -2'
loop_
_atom_site_label
_atom_site_fract_x
_atom_site_fract_y
_atom_site_fract_z
_atom_site_occupancy
Bi1 0.0000 0.0000 0.0000 1
Bi2 0.0000 0.2682 0.6903 1
Sb1 0.0000 0.5000 0.1594 1
Pt1 0.0000 0.2528 0.3048 1
Pt2 0.2440 0.0000 0.3462 1
```

=====

Theoretical powder XRD pattern of SiBiPt for Cu Kα, 1.54184 Å, from a crystal structure in Alexandria, relaxed with GGA-PBE.

Top 12 peaks for 2θ = 10–90°, low angle first:
| h k l | Position (°2θ) | d (Å) | I/Imax |
| --- | --- | --- | --- |
| 0 1 1 | 20.90 | 4.250 | 353 |
| 0 0 2 | 27.05 | 3.297 | 545 |
| 1 1 0 | 29.88 | 2.991 | 892 |
| 0 1 2 | 31.55 | 2.836 | 416 |
| 1 1 1 | 32.88 | 2.724 | 1000 |
| 0 2 1 | 35.03 | 2.561 | 598 |
| 1 1 2 | 40.74 | 2.215 | 440 |
| 1 2 1 | 43.58 | 2.077 | 483 |
| 0 1 3 | 44.32 | 2.044 | 241 |
| 1 0 3 | 48.74 | 1.868 | 401 |
| 1 2 2 | 50.03 | 1.823 | 236 |
| 2 0 0 | 51.55 | 1.773 | 356 |

```
data_SiBiPt
_chemical_formula_sum 'Si2 Bi2 Pt2'
_cell_length_a 3.5478
_cell_length_b 5.5597
_cell_length_c 6.5932
_cell_angle_alpha 90.00
_cell_angle_beta 90.00
_cell_angle_gamma 90.00
_symmetry_space_group_name_H-M 'P m n 21'
_symmetry_Int_Tables_number 31
_symmetry_space_group_name_Hall 'P 2ac -2'
loop_
_atom_site_label
_atom_site_fract_x
_atom_site_fract_y
_atom_site_fract_z
_atom_site_occupancy
Si1 0.0000 0.0358 0.0000 1
Bi1 0.0000 0.4207 0.2705 1
Pt1 0.0000 0.1897 0.6584 1
```

=====

Theoretical powder XRD pattern of SnBiPt6 for Cu Kα, 1.54184 Å, from a crystal structure in Alexandria, relaxed with GGA-PBE.

Top 12 peaks for 2θ = 10–90°, low angle first:
| h k l | Position (°2θ) | d (Å) | I/Imax |
| --- | --- | --- | --- |
| 1 0 1 | 24.12 | 3.689 | 10 |
| 1 1 1 | 32.53 | 2.752 | 14 |
| 0 0 3 | 32.86 | 2.725 | 11 |
| 1 1 2 | 37.84 | 2.378 | 1000 |
| 2 0 0 | 43.80 | 2.067 | 338 |
| 0 0 4 | 44.32 | 2.044 | 156 |
| 2 2 0 | 63.67 | 1.462 | 113 |
| 2 0 4 | 64.07 | 1.453 | 212 |
| 1 1 5 | 65.40 | 1.427 | 13 |
| 3 1 2 | 76.51 | 1.245 | 267 |
| 1 1 6 | 77.25 | 1.235 | 119 |
| 2 2 4 | 80.85 | 1.189 | 113 |

```
data_SnBiPt6
_chemical_formula_sum 'Sn1 Bi1 Pt6'
_cell_length_a 4.1338
_cell_length_b 4.1338
_cell_length_c 8.1758
_cell_angle_alpha 90.00
_cell_angle_beta 90.00
_cell_angle_gamma 90.00
_symmetry_space_group_name_H-M 'P 4/m m m'
_symmetry_Int_Tables_number 123
_symmetry_space_group_name_Hall '-P 4 2'
loop_
_atom_site_label
_atom_site_fract_x
_atom_site_fract_y
_atom_site_fract_z
_atom_site_occupancy
Sn1 0.0000 0.0000 0.0000 1
Bi1 0.0000 0.0000 0.5000 1
Pt1 0.0000 0.5000 0.2382 1
Pt2 0.5000 0.5000 0.0000 1
Pt3 0.5000 0.5000 0.5000 1
```